# 1
Calculated powder diffractogram of Tm6Pd2Au for a wavelength of 1.5418 Å, from a PBE-relaxed structure.
Intensities are scaled so that the largest is 1000.

The 10 most intense peaks (10 to 90 degrees two-theta), by intensity:
- (2 2 2), 32.29 deg, I = 1000
- (1 3 2), 34.91 deg, I = 817
- (2 3 1), 35.43 deg, I = 542
- (2 1 3), 34.32 deg, I = 534
- (4 0 0), 38.52 deg, I = 375
- (5 3 2), 60.41 deg, I = 353
- (3 1 0), 30.19 deg, I = 263
- (3 0 3), 39.55 deg, I = 190
- (3 2 1), 35.62 deg, I = 186
- (0 0 4), 35.84 deg, I = 185

Structural model:
abc: 9.3495 9.4821 10.0215
angles: 90.00 90.00 90.00
Space group Immm (No. 71)
One atom of each set of equivalent atoms:
Tm  0.0000  0.1899  0.2441 [8 per cell]
Tm  0.2038  0.5000  0.1694 [8 per cell]
Tm  0.2207  0.3212  0.5000 [8 per cell]
Pd  0.0000  0.3426  0.0000 [4 per cell]
Pd  0.0000  0.5000  0.3654 [4 per cell]
Au  0.0000  0.0000  0.0000 [2 per cell]
Au  0.0000  0.0000  0.5000 [2 per cell]

# 2
Calculated powder diffractogram of ThAlS3 for a wavelength of 1.5418 Å, from a PBE-relaxed structure.
Intensities are scaled so that the largest is 1000.

The 10 most intense peaks (10 to 90 degrees two-theta), by intensity:
- (0 2 1), 15.87 deg, I = 1000
- (1 1 1), 25.90 deg, I = 850
- (1 5 1), 35.38 deg, I = 708
- (0 4 1), 23.11 deg, I = 538
- (1 3 2), 36.95 deg, I = 452
- (1 1 3), 45.03 deg, I = 426
- (1 3 0), 26.42 deg, I = 425
- (0 4 0), 19.29 deg, I = 384
- (0 6 2), 38.98 deg, I = 383
- (1 7 1), 43.01 deg, I = 330

Structural model:
abc: 4.0391 18.4094 7.0228
angles: 90.00 90.00 90.00
Space group Cmc2_1 (No. 36)
One atom of each set of equivalent atoms:
Th  0.0000  0.1631  0.0000 [4 per cell]
Al  0.0000  0.3486  0.9738 [4 per cell]
S  0.0000  0.0955  0.3561 [4 per cell]
S  0.0000  0.2583  0.6856 [4 per cell]
S  0.0000  0.3992  0.2872 [4 per cell]

# 3
Calculated powder diffractogram of Pm2Mn2BeN6 for a wavelength of 1.5418 Å, from a PBE-relaxed structure.
Intensities are scaled so that the largest is 1000.

The 10 most intense peaks (10 to 90 degrees two-theta), by intensity:
- (1 1 0), 32.77 deg, I = 1000
- (0 1 2), 22.08 deg, I = 531
- (0 1 5), 34.92 deg, I = 386
- (1 0 4), 30.04 deg, I = 364
- (2 0 2), 39.87 deg, I = 313
- (1 1 6), 48.85 deg, I = 312
- (0 2 4), 45.04 deg, I = 260
- (0 0 6), 35.20 deg, I = 252
- (1 1 9), 64.57 deg, I = 250
- (1 1 3), 37.33 deg, I = 194

Structural model:
abc: 5.4666 5.4666 15.2972
angles: 90.00 90.00 120.00
Space group R-3m (No. 166, hexagonal axes)
One atom of each set of equivalent atoms:
Pm  0.0000  0.0000  0.2280 [6 per cell]
Mn  0.0000  0.0000  0.4299 [6 per cell]
Be  0.0000  0.0000  0.0000 [3 per cell]
N  0.0156  0.5078  0.7423 [18 per cell]